1.
# CeSnPd
Calculated powder X-ray diffraction pattern, Cu Kα (λ = 1.5418 Å). Input: DFT lattice parameters and positions (PBE).
Intensities are scaled so that the largest is 100.

Structural model:
Lattice parameters (Å, degrees): 7.611 7.611 4.192 90.00 90.00 120.00
Sites, in units of the cell vectors:
1 Ce 0.000 0.413 0.000
2 Ce 0.413 0.000 0.000
3 Ce 0.587 0.587 0.000
4 Sn 0.000 0.749 0.500
5 Sn 0.251 0.251 0.500
6 Sn 0.749 0.000 0.500
7 Pd 0.000 0.000 0.000
8 Pd 0.333 0.667 0.500
9 Pd 0.667 0.333 0.500

Peak list (10 most intense, 10 to 90 degrees two-theta, low angle first)
2.817 Å, 31.76 deg, intensity 98
2.591 Å, 34.62 deg, intensity 100
2.491 Å, 36.05 deg, intensity 52
2.197 Å, 41.08 deg, intensity 31
2.142 Å, 42.20 deg, intensity 27
2.096 Å, 43.17 deg, intensity 30
1.676 Å, 54.78 deg, intensity 16
1.604 Å, 57.46 deg, intensity 28
1.516 Å, 61.11 deg, intensity 19
1.422 Å, 65.64 deg, intensity 32

2.
# GdB2HO5
Calculated powder X-ray diffraction pattern, Cu Kα (λ = 1.5418 Å). Input: DFT lattice parameters and positions (PBE).
Intensities are scaled so that the largest is 100.

Structural model:
Lattice parameters (Å, degrees): 5.597 11.867 5.684 90.00 101.84 90.00
Sites, in units of the cell vectors:
1 Gd 0.062 0.000 0.457
2 Gd 0.402 0.126 0.017
3 Gd 0.598 0.626 0.983
4 Gd 0.938 0.500 0.543
5 B 0.137 0.287 0.384
6 B 0.148 0.708 0.363
7 B 0.378 0.429 0.154
8 B 0.393 0.849 0.143
9 B 0.607 0.349 0.857
10 B 0.622 0.929 0.846
11 B 0.852 0.208 0.637
12 B 0.863 0.787 0.616
13 H 0.122 0.554 0.068
14 H 0.173 0.676 0.711
15 H 0.827 0.176 0.289
16 H 0.878 0.054 0.932
17 O 0.011 0.804 0.444
18 O 0.021 0.126 0.766
19 O 0.163 0.184 0.292
20 O 0.222 0.508 0.972
21 O 0.223 0.390 0.324
22 O 0.279 0.652 0.602
23 O 0.317 0.952 0.198
24 O 0.330 0.744 0.227
25 O 0.411 0.990 0.728
26 O 0.447 0.332 0.015
27 O 0.553 0.832 0.985
28 O 0.589 0.490 0.272
29 O 0.670 0.244 0.773
30 O 0.683 0.452 0.802
31 O 0.721 0.152 0.398
32 O 0.777 0.890 0.676
33 O 0.778 0.008 0.028
34 O 0.837 0.684 0.708
35 O 0.979 0.626 0.234
36 O 0.989 0.304 0.556

Peak list (10 most intense, 10 to 90 degrees two-theta, low angle first)
5.934 Å, 14.93 deg, intensity 76
4.974 Å, 17.83 deg, intensity 37
4.378 Å, 20.28 deg, intensity 57
4.058 Å, 21.90 deg, intensity 52
4.025 Å, 22.08 deg, intensity 35
3.556 Å, 25.04 deg, intensity 100
2.935 Å, 30.46 deg, intensity 45
2.618 Å, 34.25 deg, intensity 81
2.609 Å, 34.38 deg, intensity 37
1.806 Å, 50.54 deg, intensity 32

3.
# Ti2RePt
Calculated powder X-ray diffraction pattern, Cu Kα (λ = 1.5418 Å). Input: DFT lattice parameters and positions (PBE).
Intensities are scaled so that the largest is 100.

Structural model:
Lattice parameters (Å, degrees): 6.273 6.273 6.273 90.00 90.00 90.00
Sites, in units of the cell vectors:
1 Ti 0.250 0.250 0.250
2 Ti 0.250 0.250 0.750
3 Ti 0.250 0.750 0.250
4 Ti 0.250 0.750 0.750
5 Ti 0.750 0.250 0.250
6 Ti 0.750 0.250 0.750
7 Ti 0.750 0.750 0.250
8 Ti 0.750 0.750 0.750
9 Re 0.000 0.000 0.000
10 Re 0.000 0.500 0.500
11 Re 0.500 0.000 0.500
12 Re 0.500 0.500 0.000
13 Pt 0.000 0.000 0.500
14 Pt 0.000 0.500 0.000
15 Pt 0.500 0.000 0.000
16 Pt 0.500 0.500 0.500

Peak list (7 most intense, 10 to 90 degrees two-theta, low angle first)
3.136 Å, 28.46 deg, intensity 45
2.218 Å, 40.68 deg, intensity 100
1.811 Å, 50.39 deg, intensity 13
1.568 Å, 58.89 deg, intensity 17
1.403 Å, 66.68 deg, intensity 18
1.280 Å, 74.04 deg, intensity 34
1.109 Å, 88.09 deg, intensity 11

4.
# NdSe2
Calculated powder X-ray diffraction pattern, Cu Kα (λ = 1.5418 Å). Input: DFT lattice parameters and positions (PBE).
Intensities are scaled so that the largest is 100.

Structural model:
Lattice parameters (Å, degrees): 4.170 4.170 8.614 90.00 90.00 90.00
Sites, in units of the cell vectors:
1 Nd 0.250 0.250 0.226
2 Nd 0.750 0.750 0.774
3 Se 0.250 0.250 0.868
4 Se 0.250 0.750 0.500
5 Se 0.750 0.250 0.500
6 Se 0.750 0.750 0.132

Peak list (10 most intense, 10 to 90 degrees two-theta, low angle first)
3.754 Å, 23.70 deg, intensity 44
2.949 Å, 30.31 deg, intensity 35
2.871 Å, 31.15 deg, intensity 33
2.790 Å, 32.08 deg, intensity 70
2.433 Å, 36.94 deg, intensity 100
2.365 Å, 38.05 deg, intensity 58
2.085 Å, 43.40 deg, intensity 58
1.687 Å, 54.38 deg, intensity 27
1.564 Å, 59.06 deg, intensity 32
1.261 Å, 75.38 deg, intensity 25

5.
# NaCaYSeO6
Calculated powder X-ray diffraction pattern, Cu Kα (λ = 1.5418 Å). Input: DFT lattice parameters and positions (PBE).
Intensities are scaled so that the largest is 100.

Structural model:
Lattice parameters (Å, degrees): 5.657 5.657 5.657 60.00 60.00 60.00
Sites, in units of the cell vectors:
1 Na 0.000 0.000 0.000
2 Ca 0.500 0.500 0.500
3 Y 0.750 0.750 0.750
4 Se 0.250 0.250 0.250
5 O 0.024 0.024 0.476
6 O 0.024 0.476 0.024
7 O 0.024 0.476 0.476
8 O 0.476 0.024 0.024
9 O 0.476 0.024 0.476
10 O 0.476 0.476 0.024

Peak list (10 most intense, 10 to 90 degrees two-theta, low angle first)
4.000 Å, 22.22 deg, intensity 57
2.828 Å, 31.63 deg, intensity 100
2.000 Å, 45.34 deg, intensity 44
1.789 Å, 51.06 deg, intensity 20
1.633 Å, 56.34 deg, intensity 36
1.414 Å, 66.07 deg, intensity 24
1.333 Å, 70.65 deg, intensity 9
1.265 Å, 75.10 deg, intensity 17
1.155 Å, 83.77 deg, intensity 8
1.109 Å, 88.04 deg, intensity 5

6.
# TmSnAu
Calculated powder X-ray diffraction pattern, Cu Kα (λ = 1.5418 Å). Input: DFT lattice parameters and positions (PBE).
Intensities are scaled so that the largest is 100.

Structural model:
Lattice parameters (Å, degrees): 6.684 6.684 6.684 90.00 90.00 90.00
Sites, in units of the cell vectors:
1 Tm 0.000 0.000 0.000
2 Tm 0.000 0.500 0.500
3 Tm 0.500 0.000 0.500
4 Tm 0.500 0.500 0.000
5 Sn 0.000 0.000 0.500
6 Sn 0.000 0.500 0.000
7 Sn 0.500 0.000 0.000
8 Sn 0.500 0.500 0.500
9 Au 0.250 0.250 0.750
10 Au 0.250 0.750 0.250
11 Au 0.750 0.250 0.250
12 Au 0.750 0.750 0.750

Peak list (10 most intense, 10 to 90 degrees two-theta, low angle first)
3.859 Å, 23.05 deg, intensity 41
3.342 Å, 26.67 deg, intensity 4
2.363 Å, 38.08 deg, intensity 100
2.015 Å, 44.98 deg, intensity 22
1.671 Å, 54.95 deg, intensity 18
1.533 Å, 60.36 deg, intensity 9
1.364 Å, 68.81 deg, intensity 36
1.286 Å, 73.64 deg, intensity 7
1.182 Å, 81.45 deg, intensity 12
1.130 Å, 86.05 deg, intensity 7

7.
# KSbS2O8
Calculated powder X-ray diffraction pattern, Cu Kα (λ = 1.5418 Å). Input: DFT lattice parameters and positions (PBE).
Intensities are scaled so that the largest is 100.

Structural model:
Lattice parameters (Å, degrees): 10.929 7.424 9.031 90.00 91.80 90.00
Sites, in units of the cell vectors:
1 K 0.113 0.167 0.317
2 K 0.113 0.333 0.817
3 K 0.887 0.667 0.183
4 K 0.887 0.833 0.683
5 Sb 0.368 0.715 0.704
6 Sb 0.368 0.785 0.204
7 Sb 0.632 0.215 0.796
8 Sb 0.632 0.285 0.296
9 S 0.147 0.694 0.431
10 S 0.147 0.806 0.931
11 S 0.383 0.201 0.078
12 S 0.383 0.299 0.578
13 S 0.617 0.701 0.422
14 S 0.617 0.799 0.922
15 S 0.853 0.194 0.069
16 S 0.853 0.306 0.569
17 O 0.041 0.688 0.933
18 O 0.041 0.812 0.433
19 O 0.135 0.541 0.332
20 O 0.135 0.959 0.832
21 O 0.185 0.638 0.587
22 O 0.185 0.862 0.087
23 O 0.259 0.685 0.885
24 O 0.259 0.815 0.385
25 O 0.271 0.194 0.584
26 O 0.271 0.306 0.084
27 O 0.381 0.061 0.209
28 O 0.381 0.439 0.709
29 O 0.402 0.109 0.938
30 O 0.402 0.391 0.438
31 O 0.493 0.183 0.617
32 O 0.493 0.317 0.117
33 O 0.507 0.683 0.883
34 O 0.507 0.817 0.383
35 O 0.598 0.609 0.562
36 O 0.598 0.891 0.062
37 O 0.619 0.561 0.291
38 O 0.619 0.939 0.791
39 O 0.729 0.694 0.916
40 O 0.729 0.806 0.416
41 O 0.741 0.185 0.615
42 O 0.741 0.315 0.115
43 O 0.815 0.138 0.913
44 O 0.815 0.362 0.413
45 O 0.865 0.041 0.168
46 O 0.865 0.459 0.668
47 O 0.959 0.188 0.567
48 O 0.959 0.312 0.067

Peak list (10 most intense, 10 to 90 degrees two-theta, low angle first)
6.140 Å, 14.43 deg, intensity 86
3.712 Å, 23.97 deg, intensity 100
3.534 Å, 25.20 deg, intensity 54
3.427 Å, 26.00 deg, intensity 51
3.286 Å, 27.13 deg, intensity 27
3.191 Å, 27.96 deg, intensity 92
3.111 Å, 28.69 deg, intensity 89
2.788 Å, 32.11 deg, intensity 27
2.731 Å, 32.79 deg, intensity 46
2.159 Å, 41.84 deg, intensity 44